(1)
Structure and simulated X-ray powder pattern of TbGd2In3Pd2Au (DFT lattice parameters and positions (PBE); a wavelength of 1.5418 Å).
Peak positions follow from Bragg's law for the DFT cell and can differ from measured ones.

Cell and atoms:
```
data_TbGd2In3Pd2Au
_chemical_formula_sum 'Tb2 Gd4 In6 Pd4 Au2'
_cell_length_a 3.887
_cell_length_b 13.496
_cell_length_c 7.799
_cell_angle_alpha 90.00
_cell_angle_beta 90.00
_cell_angle_gamma 90.00
_space_group_name_H-M_alt 'A m m 2'
_space_group_IT_number 38
loop_
_space_group_symop_operation_xyz
'x,y,z'
'-x,-y,z'
'-x,y,z'
'x,-y,z'
'x,y+1/2,z+1/2'
'-x,-y+1/2,z+1/2'
'-x,y+1/2,z+1/2'
'x,-y+1/2,z+1/2'
loop_
_atom_site_label
_atom_site_fract_x
_atom_site_fract_y
_atom_site_fract_z
Tb1 0.000 0.000 0.000
Gd1 0.000 0.203 0.391
In1 0.500 0.000 0.326
In2 0.500 0.133 0.728
Pd1 0.500 0.166 0.094
Au1 0.000 0.000 0.594
```

Principal peaks in the range 2θ from 10° to 90°, by angle:
2θ 32.53, d = 2.752 Å, rel. 64; 2θ 35.20, d = 2.549 Å, rel. 100; 2θ 40.07, d = 2.250 Å, rel. 36; 2θ 42.37, d = 2.133 Å, rel. 23; 2θ 63.21, d = 1.471 Å, rel. 19; 2θ 64.80, d = 1.439 Å, rel. 28

---

(2)
Structure and simulated X-ray powder pattern of TbGd2In3PdAu2 (DFT lattice parameters and positions (PBE); a wavelength of 1.5418 Å).
Peak positions follow from Bragg's law for the DFT cell and can differ from measured ones.

Cell and atoms:
```
data_TbGd2In3PdAu2
_chemical_formula_sum 'Tb2 Gd4 In6 Pd2 Au4'
_cell_length_a 3.951
_cell_length_b 13.501
_cell_length_c 7.801
_cell_angle_alpha 90.00
_cell_angle_beta 90.00
_cell_angle_gamma 90.00
_space_group_name_H-M_alt 'A m m 2'
_space_group_IT_number 38
loop_
_space_group_symop_operation_xyz
'x,y,z'
'-x,-y,z'
'-x,y,z'
'x,-y,z'
'x,y+1/2,z+1/2'
'-x,-y+1/2,z+1/2'
'-x,y+1/2,z+1/2'
'x,-y+1/2,z+1/2'
loop_
_atom_site_label
_atom_site_fract_x
_atom_site_fract_y
_atom_site_fract_z
Tb1 0.000 0.000 0.000
Gd1 0.000 0.203 0.610
In1 0.500 0.000 0.660
In2 0.500 0.127 0.279
Pd1 0.000 0.000 0.406
Au1 0.500 0.166 0.907
```

Principal peaks in the range 2θ from 10° to 90°, by angle:
2θ 32.26, d = 2.775 Å, rel. 100; 2θ 34.95, d = 2.567 Å, rel. 90; 2θ 35.16, d = 2.552 Å, rel. 45; 2θ 40.06, d = 2.251 Å, rel. 46; 2θ 42.15, d = 2.144 Å, rel. 31; 2θ 64.62, d = 1.442 Å, rel. 31

---

(3)
Structure and simulated X-ray powder pattern of LaGdAu2 (DFT lattice parameters and positions (PBE); a wavelength of 1.5418 Å).
Peak positions follow from Bragg's law for the DFT cell and can differ from measured ones.

Cell and atoms:
```
data_LaGdAu2
_chemical_formula_sum 'La2 Gd2 Au4'
_cell_length_a 4.806
_cell_length_b 7.445
_cell_length_c 5.831
_cell_angle_alpha 90.00
_cell_angle_beta 90.00
_cell_angle_gamma 90.00
_space_group_name_H-M_alt 'P m n 21'
_space_group_IT_number 31
loop_
_space_group_symop_operation_xyz
'x,y,z'
'-x+1/2,-y,z+1/2'
'-x,y,z'
'x+1/2,-y,z+1/2'
loop_
_atom_site_label
_atom_site_fract_x
_atom_site_fract_y
_atom_site_fract_z
La1 0.000 0.065 0.000
Gd1 0.000 0.565 0.209
Au1 0.000 0.228 0.510
Au2 0.000 0.692 0.703
```

Principal peaks in the range 2θ from 10° to 90°, by angle:
2θ 30.37, d = 2.943 Å, rel. 57; 2θ 33.00, d = 2.715 Å, rel. 35; 2θ 34.13, d = 2.627 Å, rel. 100; 2θ 37.43, d = 2.403 Å, rel. 48; 2θ 38.07, d = 2.364 Å, rel. 86; 2θ 65.42, d = 1.427 Å, rel. 34

---

(4)
Structure and simulated X-ray powder pattern of NdGd2Mg3Pd2Au (DFT lattice parameters and positions (PBE); a wavelength of 1.5418 Å).
Peak positions follow from Bragg's law for the DFT cell and can differ from measured ones.

Cell and atoms:
```
data_NdGd2Mg3Pd2Au
_chemical_formula_sum 'Nd2 Gd4 Mg6 Pd4 Au2'
_cell_length_a 4.119
_cell_length_b 13.123
_cell_length_c 7.566
_cell_angle_alpha 90.00
_cell_angle_beta 90.00
_cell_angle_gamma 90.00
_space_group_name_H-M_alt 'A m m 2'
_space_group_IT_number 38
loop_
_space_group_symop_operation_xyz
'x,y,z'
'-x,-y,z'
'-x,y,z'
'x,-y,z'
'x,y+1/2,z+1/2'
'-x,-y+1/2,z+1/2'
'-x,y+1/2,z+1/2'
'x,-y+1/2,z+1/2'
loop_
_atom_site_label
_atom_site_fract_x
_atom_site_fract_y
_atom_site_fract_z
Nd1 0.000 0.000 0.000
Gd1 0.000 0.207 0.623
Mg1 0.500 0.000 0.662
Mg2 0.500 0.124 0.294
Pd1 0.500 0.170 0.915
Au1 0.000 0.000 0.420
```

Principal peaks in the range 2θ from 10° to 90°, by angle:
2θ 23.50, d = 3.786 Å, rel. 34; 2θ 27.20, d = 3.278 Å, rel. 31; 2θ 32.11, d = 2.787 Å, rel. 47; 2θ 34.98, d = 2.565 Å, rel. 100; 2θ 41.31, d = 2.186 Å, rel. 29; 2θ 42.57, d = 2.124 Å, rel. 30

---

(5)
Structure and simulated X-ray powder pattern of Gd3Mg3Pt2Au (DFT lattice parameters and positions (PBE); a wavelength of 1.5418 Å).
Peak positions follow from Bragg's law for the DFT cell and can differ from measured ones.

Cell and atoms:
```
data_Gd3Mg3Pt2Au
_chemical_formula_sum 'Gd6 Mg6 Pt4 Au2'
_cell_length_a 4.027
_cell_length_b 13.077
_cell_length_c 7.538
_cell_angle_alpha 90.00
_cell_angle_beta 90.00
_cell_angle_gamma 90.00
_space_group_name_H-M_alt 'A m m 2'
_space_group_IT_number 38
loop_
_space_group_symop_operation_xyz
'x,y,z'
'-x,-y,z'
'-x,y,z'
'x,-y,z'
'x,y+1/2,z+1/2'
'-x,-y+1/2,z+1/2'
'-x,y+1/2,z+1/2'
'x,-y+1/2,z+1/2'
loop_
_atom_site_label
_atom_site_fract_x
_atom_site_fract_y
_atom_site_fract_z
Gd1 0.000 0.000 0.000
Gd2 0.000 0.208 0.624
Mg1 0.500 0.000 0.666
Mg2 0.500 0.125 0.291
Pt1 0.500 0.167 0.916
Au1 0.000 0.000 0.417
```

Principal peaks in the range 2θ from 10° to 90°, by angle:
2θ 23.59, d = 3.772 Å, rel. 50; 2θ 25.99, d = 3.428 Å, rel. 26; 2θ 32.52, d = 2.753 Å, rel. 57; 2θ 35.38, d = 2.537 Å, rel. 100; 2θ 41.46, d = 2.178 Å, rel. 36; 2θ 42.96, d = 2.105 Å, rel. 35

---

(6)
Structure and simulated X-ray powder pattern of GdMgAuSeS2 (DFT lattice parameters and positions (PBE); a wavelength of 1.5418 Å).
Peak positions follow from Bragg's law for the DFT cell and can differ from measured ones.

Cell and atoms:
```
data_GdMgAuSeS2
_chemical_formula_sum 'Gd4 Mg4 Au4 Se4 S8'
_cell_length_a 4.028
_cell_length_b 13.477
_cell_length_c 10.738
_cell_angle_alpha 90.00
_cell_angle_beta 90.00
_cell_angle_gamma 90.00
_space_group_name_H-M_alt 'C m c m'
_space_group_IT_number 63
_space_group_name_Hall '-C 2c 2'
loop_
_atom_site_label
_atom_site_fract_x
_atom_site_fract_y
_atom_site_fract_z
Gd1 0.000 0.000 0.000
Mg1 0.000 0.295 0.250
Au1 0.000 0.359 0.750
Se1 0.000 0.084 0.750
S1 0.000 0.361 0.534
```

Principal peaks in the range 2θ from 10° to 90°, by angle:
2θ 24.51, d = 3.632 Å, rel. 63; 2θ 28.48, d = 3.134 Å, rel. 42; 2θ 29.79, d = 2.999 Å, rel. 100; 2θ 31.34, d = 2.854 Å, rel. 50; 2θ 33.38, d = 2.685 Å, rel. 57; 2θ 45.34, d = 2.000 Å, rel. 57